Na4Ac3GeO8: computed powder diffractogram (a wavelength of 1.5418 Å), based on DFT lattice parameters and positions (PBE).

Main lines, low angle first (15° ≤ 2θ ≤ 90°):
| 2theta | I_rel | h k l |
| --- | --- | --- |
| 15.4 | 100.0 | 2 0 -1 |
| 26.9 | 25.2 | 2 0 1 |
| 29.0 | 39.1 | 0 2 1 |
| 29.6 | 49.3 | 2 2 0 |
| 32.4 | 34.0 | 4 0 0 |
| 36.0 | 51.6 | 2 2 -2 |

Structural model:
Cell lengths 12.795, 7.189, 6.921 Å; angles 90.00, 120.22, 90.00 degrees
Space group C2/m (No. 12)
Asymmetric unit:
Na1 0.000 0.000 0.000 [2 per cell]
Na2 0.000 0.500 0.000 [2 per cell]
Na3 0.250 0.250 0.500 [4 per cell]
Ac1 0.000 0.000 0.500 [2 per cell]
Ac2 0.250 0.250 0.000 [4 per cell]
Ge1 0.000 0.500 0.500 [2 per cell]
O1 0.020 0.298 0.721 [8 per cell]
O2 0.210 0.000 0.199 [4 per cell]
O3 0.225 0.000 0.729 [4 per cell]